Starting from the PBE geometry in Alexandria, the powder diffraction line list of Th2HgPdPt was computed for Cu Kα, 1.54184 Å.
Lines closer than 0.1° are merged.

Main lines, low angle first (2θ = 15–90°):
hkl 1 1 -2, 31.00°, d = 2.885 Å, I = 100
hkl 0 1 2, 31.97°, d = 2.800 Å, I = 25
hkl 3 0 -1, 33.64°, d = 2.664 Å, I = 32
hkl 0 0 3, 34.37°, d = 2.609 Å, I = 19
hkl 2 1 -2, 34.62°, d = 2.591 Å, I = 28
hkl 2 1 1, 37.79°, d = 2.380 Å, I = 83
hkl 1 0 3, 40.67°, d = 2.218 Å, I = 31
hkl 0 2 0, 45.27°, d = 2.003 Å, I = 30
hkl 1 1 -5, 60.31°, d = 1.535 Å, I = 17
hkl 3 2 -4, 67.53°, d = 1.387 Å, I = 19

Atomic structure:
Cell lengths 8.005, 4.006, 8.430 Å; angles 90.00, 111.77, 90.00 degrees
Atoms (fractional coordinates):
Th 0.160 0.250 0.381
Th 0.308 0.250 0.017
Th 0.692 0.750 0.983
Th 0.840 0.750 0.619
Hg 0.289 0.750 0.699
Hg 0.711 0.250 0.301
Pd 0.461 0.750 0.353
Pd 0.539 0.250 0.647
Pt 0.099 0.750 0.115
Pt 0.901 0.250 0.885